# Na2B3C
Theoretical powder X-ray diffraction pattern, Cu Kα, 1.54184 Å. Input: a DFT-relaxed cell (PBE, Alexandria).
No peak broadening, texture or thermal motion is included.

Largest 10 diffraction maxima, in order of rising 2θ, 2θ from 10° to 80°:
35.5°, I = 19; 41.4°, I = 100; 42.0°, I = 25; 56.1°, I = 10; 63.8°, I = 17; 75.2°, I = 2; 76.3°, I = 13; 79.0°, I = 7; 79.0°, I = 4; 79.4°, I = 17

Structural model:
```
data_Na2B3C
_chemical_formula_sum 'Na10 B15 C5'
_space_group_name_H-M_alt 'P 1'
_space_group_IT_number 1
_space_group_name_Hall 'P 1'
_cell_length_a 7.7145
_cell_length_b 7.7145
_cell_length_c 9.0913
_cell_angle_alpha 107.65
_cell_angle_beta 107.65
_cell_angle_gamma 38.23
loop_
_atom_site_label
_atom_site_type_symbol
_atom_site_fract_x
_atom_site_fract_y
_atom_site_fract_z
Na1 Na 0.0492 0.0492 0.2471
Na2 Na 0.1506 0.1504 0.7507
Na3 Na 0.2510 0.2488 0.2476
Na4 Na 0.3527 0.3480 0.7522
Na5 Na 0.4490 0.4509 0.2490
Na6 Na 0.5491 0.5510 0.7510
Na7 Na 0.6520 0.6473 0.2478
Na8 Na 0.7512 0.7490 0.7524
Na9 Na 0.8496 0.8494 0.2493
Na10 Na 0.9508 0.9508 0.7529
B1 B 0.0625 0.7349 0.9988
B2 B 0.1397 0.4506 0.9994
B3 B 0.1703 0.8297 0.5000
B4 B 0.2318 0.5662 0.4997
B5 B 0.2651 0.9375 0.0012
B6 B 0.3544 0.6456 0.0000
B7 B 0.3675 0.0444 0.5000
B8 B 0.4338 0.7682 0.5003
B9 B 0.5494 0.8603 0.0006
B10 B 0.5721 0.2105 0.5002
B11 B 0.7215 0.0768 0.9995
B12 B 0.7895 0.4279 0.4998
B13 B 0.8197 0.1803 0.5000
B14 B 0.9232 0.2785 0.0005
B15 B 0.9556 0.6325 0.5000
C1 C 0.0425 0.3615 0.4996
C2 C 0.4665 0.1334 0.9994
C3 C 0.6385 0.9575 0.5004
C4 C 0.6637 0.3363 0.0000
C5 C 0.8666 0.5335 0.0006
```